For Mg2Cd6In3, DFT lattice parameters and positions (PBE) gives the theoretical XRD peak list in this record (copper Kα).
Lines closer than 0.1° are merged.

Atomic structure:
```
data_Mg2Cd6In3
_symmetry_space_group_name_H-M 'P 1'
_symmetry_Int_Tables_number 1
_cell_length_a 7.5882
_cell_length_b 7.5882
_cell_length_c 11.2956
_cell_angle_alpha 102.87
_cell_angle_beta 102.87
_cell_angle_gamma 25.35
loop_
_symmetry_equiv_pos_as_xyz
'x,y,z'
loop_
_atom_site_label
_atom_site_type_symbol
_atom_site_fract_x
_atom_site_fract_y
_atom_site_fract_z
_atom_site_occupancy
Mg1 Mg 0.1526 0.1526 0.4717 1
Mg2 Mg 0.8474 0.8474 0.5283 1
Cd1 Cd 0.0406 0.0406 0.6724 1
Cd2 Cd 0.2830 0.2830 0.3047 1
Cd3 Cd 0.3935 0.3935 0.7715 1
Cd4 Cd 0.6065 0.6065 0.2285 1
Cd5 Cd 0.7170 0.7170 0.6953 1
Cd6 Cd 0.9594 0.9594 0.3276 1
In1 In 0.0000 0.0000 0.0000 1
In2 In 0.3378 0.3378 0.0678 1
In3 In 0.6622 0.6622 0.9322 1
```

Peak list (10 most intense, 10 to 90 degrees two-theta, by intensity)
32.7 deg, I = 100.0; 34.8 deg, I = 86.8; 38.4 deg, I = 68.8; 24.3 deg, I = 40.7; 37.3 deg, I = 39.9; 36.0 deg, I = 38.0; 40.2 deg, I = 34.5; 16.1 deg, I = 22.3; 32.1 deg, I = 22.2; 55.2 deg, I = 21.6

=====

For MgCd14In, DFT lattice parameters and positions (PBE) gives the theoretical XRD peak list in this record (copper Kα).
Lines closer than 0.1° are merged.

Atomic structure:
```
data_MgCd14In
_symmetry_space_group_name_H-M 'P 1'
_symmetry_Int_Tables_number 1
_cell_length_a 10.3969
_cell_length_b 6.2201
_cell_length_c 6.2201
_cell_angle_alpha 65.52
_cell_angle_beta 90.00
_cell_angle_gamma 90.00
loop_
_symmetry_equiv_pos_as_xyz
'x,y,z'
loop_
_atom_site_label
_atom_site_type_symbol
_atom_site_fract_x
_atom_site_fract_y
_atom_site_fract_z
_atom_site_occupancy
Mg1 Mg 0.0000 0.0000 0.0000 1
Cd1 Cd 0.0000 0.5020 0.9862 1
Cd2 Cd 0.0000 0.9862 0.5020 1
Cd3 Cd 0.2466 0.8362 0.8362 1
Cd4 Cd 0.2512 0.3316 0.8437 1
Cd5 Cd 0.2512 0.8437 0.3316 1
Cd6 Cd 0.2552 0.3391 0.3391 1
Cd7 Cd 0.5000 0.1787 0.6837 1
Cd8 Cd 0.5000 0.1816 0.1816 1
Cd9 Cd 0.5000 0.6807 0.6807 1
Cd10 Cd 0.5000 0.6837 0.1787 1
Cd11 Cd 0.7448 0.3391 0.3391 1
Cd12 Cd 0.7488 0.3316 0.8437 1
Cd13 Cd 0.7488 0.8437 0.3316 1
Cd14 Cd 0.7534 0.8362 0.8362 1
In1 In 0.0000 0.4900 0.4900 1
```

Peak list (10 most intense, 10 to 90 degrees two-theta, by intensity)
36.1 deg, I = 100.0; 38.5 deg, I = 62.3; 34.5 deg, I = 56.8; 32.8 deg, I = 50.5; 41.2 deg, I = 27.3; 70.8 deg, I = 23.8; 68.7 deg, I = 20.9; 59.7 deg, I = 20.2; 62.9 deg, I = 18.4; 31.6 deg, I = 17.7

=====

For Mg4Cd2In3, DFT lattice parameters and positions (PBE) gives the theoretical XRD peak list in this record (copper Kα).
Lines closer than 0.1° are merged.

Atomic structure:
```
data_Mg4Cd2In3
_symmetry_space_group_name_H-M 'P 1'
_symmetry_Int_Tables_number 1
_cell_length_a 5.4779
_cell_length_b 5.4779
_cell_length_c 9.6401
_cell_angle_alpha 105.48
_cell_angle_beta 105.48
_cell_angle_gamma 48.59
loop_
_symmetry_equiv_pos_as_xyz
'x,y,z'
loop_
_atom_site_label
_atom_site_type_symbol
_atom_site_fract_x
_atom_site_fract_y
_atom_site_fract_z
_atom_site_occupancy
Mg1 Mg 0.0021 0.0021 0.3292 1
Mg2 Mg 0.3333 0.3333 0.1100 1
Mg3 Mg 0.6667 0.6667 0.8900 1
Mg4 Mg 0.9979 0.9979 0.6708 1
Cd1 Cd 0.3312 0.3312 0.7839 1
Cd2 Cd 0.6688 0.6688 0.2161 1
In1 In 0.0000 0.0000 0.0000 1
In2 In 0.3358 0.3358 0.4400 1
In3 In 0.6642 0.6642 0.5600 1
```

Peak list (10 most intense, 10 to 90 degrees two-theta, by intensity)
34.3 deg, I = 100.0; 34.5 deg, I = 99.1; 39.2 deg, I = 34.4; 57.3 deg, I = 32.8; 40.0 deg, I = 32.7; 25.0 deg, I = 31.3; 40.5 deg, I = 31.0; 18.3 deg, I = 28.8; 22.6 deg, I = 26.2; 31.1 deg, I = 21.4

=====

For MgCd2In, DFT lattice parameters and positions (PBE) gives the theoretical XRD peak list in this record (copper Kα).
Lines closer than 0.1° are merged.

Atomic structure:
```
data_MgCd2In
_symmetry_space_group_name_H-M 'P 1'
_symmetry_Int_Tables_number 1
_cell_length_a 8.2890
_cell_length_b 8.2890
_cell_length_c 3.1838
_cell_angle_alpha 90.00
_cell_angle_beta 90.00
_cell_angle_gamma 118.56
loop_
_symmetry_equiv_pos_as_xyz
'x,y,z'
loop_
_atom_site_label
_atom_site_type_symbol
_atom_site_fract_x
_atom_site_fract_y
_atom_site_fract_z
_atom_site_occupancy
Mg1 Mg 0.1757 0.1757 0.0000 1
Mg2 Mg 0.8243 0.8243 0.5000 1
Cd1 Cd 0.0254 0.6667 0.9999 1
Cd2 Cd 0.3333 0.9746 0.5001 1
Cd3 Cd 0.6667 0.0254 0.0001 1
Cd4 Cd 0.9746 0.3333 0.4999 1
In1 In 0.3941 0.6059 0.7500 1
In2 In 0.6059 0.3941 0.2500 1
```

Peak list (10 most intense, 10 to 90 degrees two-theta, by intensity)
35.6 deg, I = 100.0; 33.2 deg, I = 59.5; 37.5 deg, I = 59.4; 32.3 deg, I = 54.5; 37.0 deg, I = 47.4; 12.4 deg, I = 46.8; 35.3 deg, I = 35.6; 30.6 deg, I = 23.7; 65.4 deg, I = 22.8; 43.7 deg, I = 21.1

=====

For Mg8Cd6In, DFT lattice parameters and positions (PBE) gives the theoretical XRD peak list in this record (copper Kα).
Lines closer than 0.1° are merged.

Atomic structure:
```
data_Mg8Cd6In
_symmetry_space_group_name_H-M 'P 1'
_symmetry_Int_Tables_number 1
_cell_length_a 7.6163
_cell_length_b 7.6163
_cell_length_c 7.6163
_cell_angle_alpha 67.43
_cell_angle_beta 67.43
_cell_angle_gamma 67.43
loop_
_symmetry_equiv_pos_as_xyz
'x,y,z'
loop_
_atom_site_label
_atom_site_type_symbol
_atom_site_fract_x
_atom_site_fract_y
_atom_site_fract_z
_atom_site_occupancy
Mg1 Mg 0.0599 0.7087 0.3815 1
Mg2 Mg 0.1674 0.1674 0.1674 1
Mg3 Mg 0.2913 0.6185 0.9401 1
Mg4 Mg 0.3815 0.0599 0.7087 1
Mg5 Mg 0.6185 0.9401 0.2913 1
Mg6 Mg 0.7087 0.3815 0.0599 1
Mg7 Mg 0.8326 0.8326 0.8326 1
Mg8 Mg 0.9401 0.2913 0.6185 1
Cd1 Cd 0.1059 0.4468 0.7863 1
Cd2 Cd 0.2137 0.8941 0.5532 1
Cd3 Cd 0.4468 0.7863 0.1059 1
Cd4 Cd 0.5532 0.2137 0.8941 1
Cd5 Cd 0.7863 0.1059 0.4468 1
Cd6 Cd 0.8941 0.5532 0.2137 1
In1 In 0.5000 0.5000 0.5000 1
```

Peak list (10 most intense, 10 to 90 degrees two-theta, by intensity)
37.4 deg, I = 100.0; 36.8 deg, I = 95.2; 26.0 deg, I = 74.4; 15.2 deg, I = 54.6; 53.5 deg, I = 33.8; 66.7 deg, I = 33.3; 40.0 deg, I = 29.0; 21.0 deg, I = 25.5; 45.6 deg, I = 15.8; 66.3 deg, I = 15.5

=====

For Mg8CdIn2, DFT lattice parameters and positions (PBE) gives the theoretical XRD peak list in this record (copper Kα).
Lines closer than 0.1° are merged.

Atomic structure:
```
data_Mg8CdIn2
_symmetry_space_group_name_H-M 'P 1'
_symmetry_Int_Tables_number 1
_cell_length_a 8.3739
_cell_length_b 8.3739
_cell_length_c 8.3739
_cell_angle_alpha 145.95
_cell_angle_beta 128.56
_cell_angle_gamma 63.14
loop_
_symmetry_equiv_pos_as_xyz
'x,y,z'
loop_
_atom_site_label
_atom_site_type_symbol
_atom_site_fract_x
_atom_site_fract_y
_atom_site_fract_z
_atom_site_occupancy
Mg1 Mg 0.1225 0.3502 0.7723 1
Mg2 Mg 0.1645 0.1645 0.0000 1
Mg3 Mg 0.2761 0.0000 0.2761 1
Mg4 Mg 0.4221 0.6498 0.7723 1
Mg5 Mg 0.5779 0.3502 0.2277 1
Mg6 Mg 0.7239 0.0000 0.7239 1
Mg7 Mg 0.8355 0.8355 0.0000 1
Mg8 Mg 0.8775 0.6498 0.2277 1
Cd1 Cd 0.0000 0.5000 0.5000 1
In1 In 0.3168 0.8168 0.5000 1
In2 In 0.6832 0.1832 0.5000 1
```

Peak list (10 most intense, 10 to 90 degrees two-theta, by intensity)
36.1 deg, I = 100.0; 21.9 deg, I = 53.9; 22.3 deg, I = 51.3; 36.6 deg, I = 26.1; 26.1 deg, I = 23.6; 37.8 deg, I = 18.6; 43.3 deg, I = 17.8; 65.6 deg, I = 16.3; 24.5 deg, I = 15.3; 53.7 deg, I = 13.0

=====

For Mg7Cd2In, DFT lattice parameters and positions (PBE) gives the theoretical XRD peak list in this record (copper Kα).
Lines closer than 0.1° are merged.

Atomic structure:
```
data_Mg7Cd2In
_symmetry_space_group_name_H-M 'P 1'
_symmetry_Int_Tables_number 1
_cell_length_a 4.8855
_cell_length_b 4.8855
_cell_length_c 11.7792
_cell_angle_alpha 90.00
_cell_angle_beta 90.00
_cell_angle_gamma 120.00
loop_
_symmetry_equiv_pos_as_xyz
'x,y,z'
loop_
_atom_site_label
_atom_site_type_symbol
_atom_site_fract_x
_atom_site_fract_y
_atom_site_fract_z
_atom_site_occupancy
Mg1 Mg 0.0000 0.0000 0.0000 1
Mg2 Mg 0.0000 0.0000 0.2561 1
Mg3 Mg 0.0000 0.0000 0.5215 1
Mg4 Mg 0.3333 0.6667 0.1437 1
Mg5 Mg 0.3333 0.6667 0.6832 1
Mg6 Mg 0.6667 0.3333 0.3639 1
Mg7 Mg 0.6667 0.3333 0.8443 1
Cd1 Cd 0.0000 0.0000 0.7615 1
Cd2 Cd 0.6667 0.3333 0.1017 1
In1 In 0.3333 0.6667 0.4190 1
```

Peak list (10 most intense, 10 to 90 degrees two-theta, by intensity)
22.3 deg, I = 100.0; 36.8 deg, I = 77.2; 37.2 deg, I = 72.1; 43.6 deg, I = 38.2; 22.6 deg, I = 36.7; 25.9 deg, I = 33.8; 53.3 deg, I = 24.5; 66.5 deg, I = 24.4; 43.5 deg, I = 17.0; 44.0 deg, I = 14.0

=====

For Mg3Cd2In, DFT lattice parameters and positions (PBE) gives the theoretical XRD peak list in this record (copper Kα).
Lines closer than 0.1° are merged.

Atomic structure:
```
data_Mg3Cd2In
_symmetry_space_group_name_H-M 'P 1'
_symmetry_Int_Tables_number 1
_cell_length_a 8.3839
_cell_length_b 8.3839
_cell_length_c 3.2586
_cell_angle_alpha 90.00
_cell_angle_beta 90.00
_cell_angle_gamma 144.06
loop_
_symmetry_equiv_pos_as_xyz
'x,y,z'
loop_
_atom_site_label
_atom_site_type_symbol
_atom_site_fract_x
_atom_site_fract_y
_atom_site_fract_z
_atom_site_occupancy
Mg1 Mg 0.0000 0.0000 0.0000 1
Mg2 Mg 0.3297 0.6703 0.0000 1
Mg3 Mg 0.6703 0.3297 0.0000 1
Cd1 Cd 0.1654 0.8346 0.5000 1
Cd2 Cd 0.8346 0.1654 0.5000 1
In1 In 0.5000 0.5000 0.5000 1
```

Peak list (10 most intense, 10 to 90 degrees two-theta, by intensity)
36.7 deg, I = 100.0; 24.0 deg, I = 60.8; 33.7 deg, I = 31.6; 34.7 deg, I = 29.3; 62.3 deg, I = 28.2; 27.4 deg, I = 22.0; 49.1 deg, I = 21.1; 63.5 deg, I = 18.9; 83.7 deg, I = 12.1; 44.0 deg, I = 12.0

=====

For Mg12Cd7In, DFT lattice parameters and positions (PBE) gives the theoretical XRD peak list in this record (copper Kα).
Lines closer than 0.1° are merged.

Atomic structure:
```
data_Mg12Cd7In
_symmetry_space_group_name_H-M 'P 1'
_symmetry_Int_Tables_number 1
_cell_length_a 8.6216
_cell_length_b 8.6216
_cell_length_c 8.6216
_cell_angle_alpha 110.77
_cell_angle_beta 110.77
_cell_angle_gamma 110.77
loop_
_symmetry_equiv_pos_as_xyz
'x,y,z'
loop_
_atom_site_label
_atom_site_type_symbol
_atom_site_fract_x
_atom_site_fract_y
_atom_site_fract_z
_atom_site_occupancy
Mg1 Mg 0.0867 0.3761 0.5804 1
Mg2 Mg 0.1010 0.7353 0.1542 1
Mg3 Mg 0.1542 0.1010 0.7353 1
Mg4 Mg 0.2647 0.8458 0.8990 1
Mg5 Mg 0.3761 0.5804 0.0867 1
Mg6 Mg 0.4196 0.9133 0.6239 1
Mg7 Mg 0.5804 0.0867 0.3761 1
Mg8 Mg 0.6239 0.4196 0.9133 1
Mg9 Mg 0.7353 0.1542 0.1010 1
Mg10 Mg 0.8458 0.8990 0.2647 1
Mg11 Mg 0.8990 0.2647 0.8458 1
Mg12 Mg 0.9133 0.6239 0.4196 1
Cd1 Cd 0.0000 0.0000 0.0000 1
Cd2 Cd 0.1371 0.4717 0.2813 1
Cd3 Cd 0.2813 0.1371 0.4717 1
Cd4 Cd 0.4717 0.2813 0.1371 1
Cd5 Cd 0.5283 0.7187 0.8629 1
Cd6 Cd 0.7187 0.8629 0.5283 1
Cd7 Cd 0.8629 0.5283 0.7187 1
In1 In 0.5000 0.5000 0.5000 1
```

Peak list (10 most intense, 10 to 90 degrees two-theta, by intensity)
12.5 deg, I = 100.0; 33.7 deg, I = 93.9; 39.0 deg, I = 92.8; 22.1 deg, I = 90.6; 33.4 deg, I = 83.3; 29.4 deg, I = 78.1; 44.2 deg, I = 38.4; 34.5 deg, I = 37.1; 28.4 deg, I = 35.7; 42.2 deg, I = 29.2

=====

For Mg4Cd3In4, DFT lattice parameters and positions (PBE) gives the theoretical XRD peak list in this record (copper Kα).
Lines closer than 0.1° are merged.

Atomic structure:
```
data_Mg4Cd3In4
_symmetry_space_group_name_H-M 'P 1'
_symmetry_Int_Tables_number 1
_cell_length_a 9.1126
_cell_length_b 7.0303
_cell_length_c 7.0303
_cell_angle_alpha 36.88
_cell_angle_beta 90.00
_cell_angle_gamma 90.00
loop_
_symmetry_equiv_pos_as_xyz
'x,y,z'
loop_
_atom_site_label
_atom_site_type_symbol
_atom_site_fract_x
_atom_site_fract_y
_atom_site_fract_z
_atom_site_occupancy
Mg1 Mg 0.0000 0.0000 0.0000 1
Mg2 Mg 0.2469 0.8302 0.8302 1
Mg3 Mg 0.5000 0.9928 0.9928 1
Mg4 Mg 0.7531 0.8302 0.8302 1
Cd1 Cd 0.0000 0.3412 0.3412 1
Cd2 Cd 0.2644 0.4848 0.4848 1
Cd3 Cd 0.7356 0.4848 0.4848 1
In1 In 0.0000 0.6641 0.6641 1
In2 In 0.2524 0.1627 0.1627 1
In3 In 0.5000 0.6787 0.6787 1
In4 In 0.7476 0.1627 0.1627 1
```

Peak list (10 most intense, 10 to 90 degrees two-theta, by intensity)
34.7 deg, I = 100.0; 40.6 deg, I = 32.0; 70.0 deg, I = 21.5; 58.0 deg, I = 20.5; 39.6 deg, I = 17.3; 28.8 deg, I = 16.9; 13.3 deg, I = 13.5; 68.6 deg, I = 11.9; 21.1 deg, I = 9.9; 58.7 deg, I = 9.6

=====

For Mg4Cd3In2, DFT lattice parameters and positions (PBE) gives the theoretical XRD peak list in this record (copper Kα).
Lines closer than 0.1° are merged.

Atomic structure:
```
data_Mg4Cd3In2
_symmetry_space_group_name_H-M 'P 1'
_symmetry_Int_Tables_number 1
_cell_length_a 5.4927
_cell_length_b 5.4927
_cell_length_c 9.6335
_cell_angle_alpha 105.75
_cell_angle_beta 105.75
_cell_angle_gamma 47.22
loop_
_symmetry_equiv_pos_as_xyz
'x,y,z'
loop_
_atom_site_label
_atom_site_type_symbol
_atom_site_fract_x
_atom_site_fract_y
_atom_site_fract_z
_atom_site_occupancy
Mg1 Mg 0.0070 0.0070 0.3332 1
Mg2 Mg 0.3371 0.3371 0.1104 1
Mg3 Mg 0.6629 0.6629 0.8896 1
Mg4 Mg 0.9930 0.9930 0.6668 1
Cd1 Cd 0.0000 0.0000 0.0000 1
Cd2 Cd 0.3412 0.3412 0.4434 1
Cd3 Cd 0.6588 0.6588 0.5566 1
In1 In 0.3251 0.3251 0.7784 1
In2 In 0.6749 0.6749 0.2216 1
```

Peak list (10 most intense, 10 to 90 degrees two-theta, by intensity)
34.6 deg, I = 100.0; 39.2 deg, I = 20.7; 25.3 deg, I = 18.2; 40.2 deg, I = 15.9; 41.0 deg, I = 15.6; 22.4 deg, I = 14.2; 18.1 deg, I = 13.3; 68.2 deg, I = 12.8; 58.1 deg, I = 12.2; 70.6 deg, I = 11.6

=====

For Mg7CdIn2, DFT lattice parameters and positions (PBE) gives the theoretical XRD peak list in this record (copper Kα).
Lines closer than 0.1° are merged.

Atomic structure:
```
data_Mg7CdIn2
_symmetry_space_group_name_H-M 'P 1'
_symmetry_Int_Tables_number 1
_cell_length_a 4.8808
_cell_length_b 4.8808
_cell_length_c 11.9188
_cell_angle_alpha 90.00
_cell_angle_beta 90.00
_cell_angle_gamma 120.00
loop_
_symmetry_equiv_pos_as_xyz
'x,y,z'
loop_
_atom_site_label
_atom_site_type_symbol
_atom_site_fract_x
_atom_site_fract_y
_atom_site_fract_z
_atom_site_occupancy
Mg1 Mg 0.0000 0.0000 0.0000 1
Mg2 Mg 0.0000 0.0000 0.2551 1
Mg3 Mg 0.0000 0.0000 0.5170 1
Mg4 Mg 0.3333 0.6667 0.1492 1
Mg5 Mg 0.3333 0.6667 0.6775 1
Mg6 Mg 0.6667 0.3333 0.3551 1
Mg7 Mg 0.6667 0.3333 0.8448 1
Cd1 Cd 0.6667 0.3333 0.0979 1
In1 In 0.0000 0.0000 0.7585 1
In2 In 0.3333 0.6667 0.4186 1
```

Peak list (10 most intense, 10 to 90 degrees two-theta, by intensity)
36.9 deg, I = 100.0; 22.3 deg, I = 91.1; 43.5 deg, I = 36.0; 66.4 deg, I = 25.0; 25.8 deg, I = 22.4; 53.1 deg, I = 16.7; 58.3 deg, I = 13.5; 43.6 deg, I = 10.3; 71.0 deg, I = 10.1; 89.9 deg, I = 7.3